This entry pairs a crystal structure of La2MnCoO6 with its calculated XRD peak list. Radiation: Cu Kα, 1.54184 Å. Structure: DFT lattice parameters and positions (PBE+U).
Intensities are scaled so that the largest is 1000.

The 10 most intense peaks (10° ≤ 2θ ≤ 80°), most intense first:
hkl 1 1 1, 32.5°, I = 1000
hkl 2 0 -2, 32.0°, I = 975
hkl 1 1 -3, 32.8°, I = 957
hkl 2 2 -2, 45.9°, I = 570
hkl 0 0 4, 47.8°, I = 306
hkl 1 1 -1, 22.5°, I = 274
hkl 3 1 -1, 57.2°, I = 222
hkl 3 1 -5, 57.8°, I = 217
hkl 0 2 2, 40.0°, I = 210
hkl 0 2 4, 58.7°, I = 189

Crystal structure
a b c (Å): 5.587 5.590 9.379
angles (deg): 90.00 125.70 90.00
Space group P2_1/c (No. 14)
Symmetry-distinct sites (fractional):
La 0.241 0.033 0.249 (multiplicity 4)
Mn 0.500 0.000 0.000 (multiplicity 2)
Co 0.000 0.000 0.500 (multiplicity 2)
O 0.175 0.225 0.961 (multiplicity 4)
O 0.233 0.713 0.961 (multiplicity 4)
O 0.326 0.014 0.751 (multiplicity 4)